Diffraction record for Mn2FeReO6. The powder X-ray diffraction pattern is calculated, not measured: it uses a crystal structure in the Materials Project, relaxed with GGA+U and Cu Kα.
Neutral-atom scattering factors, no anomalous dispersion.

Atomic structure:
```
Mn2FeReO6
1.0
5.3035 0.0000 0.0000
0.0088 5.4274 0.0000
0.0071 0.0177 7.8656
Mn Fe Re O
4 2 2 12
Direct
0.0092 0.4502 0.2615
0.4892 0.9510 0.2439
0.5108 0.0490 0.7561
0.9908 0.5498 0.7385
0.0000 0.0000 0.5000
0.5000 0.5000 0.0000
0.0000 0.0000 0.0000
0.5000 0.5000 0.5000
0.1261 0.9302 0.7712
0.1653 0.7058 0.0790
0.1918 0.6847 0.4456
0.3069 0.1823 0.0555
0.3304 0.2083 0.4208
0.3765 0.4288 0.7299
0.6235 0.5712 0.2701
0.6696 0.7917 0.5792
0.6931 0.8177 0.9445
0.8082 0.3153 0.5544
0.8347 0.2942 0.9210
0.8739 0.0698 0.2288
```

Peak list (10 most intense, 2θ = 10–80°, low angle first)
2θ/deg, d (Å), intensity, (hkl)
19.9, 4.467, 32, 0 1 -1
20.2, 4.397, 24, 1 0 -1
23.5, 3.793, 24, 1 -1 0
32.8, 2.730, 100, 1 1 2
33.0, 2.714, 22, 0 2 0
33.8, 2.652, 22, 2 0 0
46.2, 1.966, 13, 0 0 4
48.0, 1.897, 21, 2 -2 0
58.8, 1.569, 13, -1 3 2
59.8, 1.546, 23, 3 1 2